No. 1
For Sr2Hg5Pt, the GGA-PBE geometry in Alexandria gives the calculated powder diffractogram in this record (Cu Ka).

The 10 most intense peaks (2θ from 10° to 90°), in order of rising 2θ:
(1 1 0), 21.1°, 4.215 Å, I 26.1; (1 5 0), 30.2°, 2.957 Å, I 100.0; (1 1 3), 33.8°, 2.651 Å, I 29.4; (0 2 4), 36.2°, 2.479 Å, I 14.4; (0 6 3), 37.4°, 2.402 Å, I 16.9; (0 8 2), 39.7°, 2.272 Å, I 23.1; (1 1 4), 41.3°, 2.186 Å, I 18.8; (1 7 2), 41.5°, 2.176 Å, I 29.5; (2 0 0), 41.9°, 2.155 Å, I 26.4; (2 8 2), 59.1°, 1.563 Å, I 14.5

Cell and atoms:
```
data_Sr2Hg5Pt
_cell_length_a 4.3091
_cell_length_b 20.2894
_cell_length_c 10.2274
_cell_angle_alpha 90.00
_cell_angle_beta 90.00
_cell_angle_gamma 90.00
_symmetry_space_group_name_H-M 'C m c m'
_symmetry_Int_Tables_number 63
_symmetry_space_group_name_Hall '-C 2c 2'
loop_
_atom_site_label
_atom_site_type_symbol
_atom_site_fract_x
_atom_site_fract_y
_atom_site_fract_z
Sr1 Sr 0.0000 0.0000 0.0000
Sr2 Sr 0.0000 0.1738 0.2500
Hg1 Hg 0.0000 0.2118 0.6071
Hg2 Hg 0.0000 0.3698 0.5160
Hg3 Hg 0.0000 0.4223 0.2500
Pt1 Pt 0.0000 0.4402 0.7500
```

---

No. 2
For Tl7Cr, the GGA-PBE geometry in Alexandria gives the calculated powder diffractogram in this record (Cu Ka).

The 10 most intense peaks (2θ from 10° to 90°), in order of rising 2θ:
(1 1 1), 15.9°, 5.586 Å, I 5.2; (2 0 0), 18.3°, 4.838 Å, I 2.8; (3 1 1), 30.6°, 2.917 Å, I 3.3; (2 2 2), 32.0°, 2.793 Å, I 100.0; (4 0 0), 37.2°, 2.419 Å, I 50.6; (4 4 0), 53.6°, 1.710 Å, I 35.8; (6 2 2), 63.8°, 1.459 Å, I 42.5; (4 4 4), 67.0°, 1.397 Å, I 12.3; (8 0 0), 79.2°, 1.209 Å, I 5.8; (6 6 2), 88.0°, 1.110 Å, I 18.5

Cell and atoms:
```
data_Tl7Cr
_cell_length_a 9.6758
_cell_length_b 9.6758
_cell_length_c 9.6758
_cell_angle_alpha 90.00
_cell_angle_beta 90.00
_cell_angle_gamma 90.00
_symmetry_space_group_name_H-M 'F m -3 m'
_symmetry_Int_Tables_number 225
_symmetry_space_group_name_Hall '-F 4 2 3'
loop_
_atom_site_label
_atom_site_type_symbol
_atom_site_fract_x
_atom_site_fract_y
_atom_site_fract_z
Tl1 Tl 0.0000 0.0000 0.0000
Tl2 Tl 0.0000 0.2500 0.2500
Cr1 Cr 0.0000 0.0000 0.5000
```

---

No. 3
For InCuSbS4, the GGA-PBE geometry in Alexandria gives the calculated powder diffractogram in this record (Cu Ka).

The 10 most intense peaks (2θ from 10° to 90°), in order of rising 2θ:
(1 1 2), 22.9°, 3.887 Å, I 51.9; (2 0 0), 24.4°, 3.644 Å, I 25.4; (1 0 3), 26.0°, 3.429 Å, I 66.3; (1 2 1), 27.9°, 3.196 Å, I 100.0; (2 1 1), 28.3°, 3.151 Å, I 69.0; (0 0 4), 30.7°, 2.915 Å, I 27.2; (2 2 0), 34.4°, 2.608 Å, I 27.7; (0 1 5), 40.6°, 2.225 Å, I 27.7; (2 3 1), 44.8°, 2.024 Å, I 31.2; (2 2 4), 46.7°, 1.944 Å, I 94.9

Cell and atoms:
```
data_InCuSbS4
_cell_length_a 7.2886
_cell_length_b 7.4668
_cell_length_c 11.6598
_cell_angle_alpha 90.00
_cell_angle_beta 90.00
_cell_angle_gamma 90.00
_symmetry_space_group_name_H-M 'I m m a'
_symmetry_Int_Tables_number 74
_symmetry_space_group_name_Hall '-I 2b 2'
loop_
_atom_site_label
_atom_site_type_symbol
_atom_site_fract_x
_atom_site_fract_y
_atom_site_fract_z
In1 In 0.0000 0.2500 0.1547
Cu1 Cu 0.2500 0.2500 0.7500
Sb1 Sb 0.0000 0.0000 0.5000
S1 S 0.0000 0.0428 0.7353
S2 S 0.2344 0.2500 0.9949
```

---

No. 4
For Er4PbAuC, the GGA-PBE geometry in Alexandria gives the calculated powder diffractogram in this record (Cu Ka).

The 10 most intense peaks (2θ from 10° to 90°), in order of rising 2θ:
(2 0 0), 26.1°, 3.409 Å, I 24.7; (2 2 0), 28.8°, 3.100 Å, I 63.0; (1 5 1), 35.4°, 2.535 Å, I 17.6; (2 4 0), 35.7°, 2.515 Å, I 100.0; (0 6 0), 36.2°, 2.483 Å, I 19.6; (2 0 2), 37.3°, 2.410 Å, I 66.4; (2 6 2), 52.9°, 1.730 Å, I 26.5; (4 0 0), 53.8°, 1.704 Å, I 23.3; (4 2 2), 62.1°, 1.494 Å, I 14.7; (4 4 2), 66.2°, 1.411 Å, I 34.0

Cell and atoms:
```
data_Er4PbAuC
_cell_length_a 6.8150
_cell_length_b 14.8994
_cell_length_c 6.8209
_cell_angle_alpha 90.00
_cell_angle_beta 90.00
_cell_angle_gamma 90.00
_symmetry_space_group_name_H-M 'C m c m'
_symmetry_Int_Tables_number 63
_symmetry_space_group_name_Hall '-C 2c 2'
loop_
_atom_site_label
_atom_site_type_symbol
_atom_site_fract_x
_atom_site_fract_y
_atom_site_fract_z
Er1 Er 0.0000 0.0774 0.2500
Er2 Er 0.0000 0.4098 0.2500
Er3 Er 0.2500 0.2500 0.0000
Pb1 Pb 0.0000 0.3863 0.7500
Au1 Au 0.0000 0.1188 0.7500
C1 C 0.0000 0.2481 0.2500
```

---

No. 5
For ZrAl4Ni15, the GGA-PBE geometry in Alexandria gives the calculated powder diffractogram in this record (Cu Ka).

The 10 most intense peaks (2θ from 10° to 90°), in order of rising 2θ:
(1 0 0), 24.5°, 3.627 Å, I 2.7; (0 0 5), 25.0°, 3.556 Å, I 2.7; (0 0 7), 35.3°, 2.541 Å, I 3.4; (0 0 8), 40.6°, 2.223 Å, I 2.9; (1 1 5), 43.5°, 2.081 Å, I 100.0; (2 0 0), 50.3°, 1.814 Å, I 32.8; (0 0 10), 51.3°, 1.780 Å, I 13.6; (2 2 0), 73.9°, 1.282 Å, I 9.6; (2 0 10), 74.7°, 1.270 Å, I 16.3; (3 1 5), 89.8°, 1.092 Å, I 22.2

Cell and atoms:
```
data_ZrAl4Ni15
_cell_length_a 3.6273
_cell_length_b 3.6273
_cell_length_c 17.7980
_cell_angle_alpha 90.00
_cell_angle_beta 90.00
_cell_angle_gamma 90.00
_symmetry_space_group_name_H-M 'P 4/m m m'
_symmetry_Int_Tables_number 123
_symmetry_space_group_name_Hall '-P 4 2'
loop_
_atom_site_label
_atom_site_type_symbol
_atom_site_fract_x
_atom_site_fract_y
_atom_site_fract_z
Zr1 Zr 0.0000 0.0000 0.0000
Al1 Al 0.0000 0.0000 0.2073
Al2 Al 0.0000 0.0000 0.4022
Ni1 Ni 0.0000 0.5000 0.1093
Ni2 Ni 0.0000 0.5000 0.3044
Ni3 Ni 0.0000 0.5000 0.5000
Ni4 Ni 0.5000 0.5000 0.0000
Ni5 Ni 0.5000 0.5000 0.2065
Ni6 Ni 0.5000 0.5000 0.4026
```

---

No. 6
For LiNi7Sn2As2, the GGA-PBE geometry in Alexandria gives the calculated powder diffractogram in this record (Cu Ka).

The 10 most intense peaks (2θ from 10° to 90°), in order of rising 2θ:
(0 0 4), 24.6°, 3.619 Å, I 29.7; (1 1 0), 25.0°, 3.555 Å, I 45.2; (1 1 2), 29.3°, 3.046 Å, I 33.7; (1 1 -4), 33.1°, 2.708 Å, I 53.1; (0 2 0), 35.4°, 2.533 Å, I 36.0; (2 0 -2), 36.0°, 2.495 Å, I 100.0; (1 1 5), 42.6°, 2.121 Å, I 35.0; (2 0 4), 47.7°, 1.907 Å, I 89.3; (2 0 -6), 47.8°, 1.904 Å, I 28.8; (2 2 -1), 51.0°, 1.791 Å, I 80.8

Cell and atoms:
```
data_LiNi7Sn2As2
_cell_length_a 5.0663
_cell_length_b 5.0649
_cell_length_c 14.6914
_cell_angle_alpha 90.00
_cell_angle_beta 99.78
_cell_angle_gamma 90.00
_symmetry_space_group_name_H-M 'C 1 2/m 1'
_symmetry_Int_Tables_number 12
_symmetry_space_group_name_Hall '-C 2y'
loop_
_atom_site_label
_atom_site_type_symbol
_atom_site_fract_x
_atom_site_fract_y
_atom_site_fract_z
Li1 Li 0.0000 0.0000 0.0000
Ni1 Ni 0.0000 0.5000 0.0000
Ni2 Ni 0.1903 0.2500 0.8774
Ni3 Ni 0.1918 0.5000 0.3836
Sn1 Sn 0.2125 0.0000 0.4252
As1 As 0.1097 0.5000 0.2243
```

---

No. 7
For Gd10S19, the GGA-PBE geometry in Alexandria gives the calculated powder diffractogram in this record (Cu Ka).

The 10 most intense peaks (2θ from 10° to 90°), in order of rising 2θ:
(0 0 4), 22.3°, 3.979 Å, I 29.2; (1 2 2), 25.3°, 3.514 Å, I 100.0; (3 1 0), 32.3°, 2.769 Å, I 45.0; (3 1 2), 34.3°, 2.615 Å, I 14.2; (3 1 4), 39.7°, 2.273 Å, I 57.3; (1 2 6), 41.1°, 2.196 Å, I 39.6; (2 4 0), 46.4°, 1.958 Å, I 26.0; (2 4 4), 52.1°, 1.757 Å, I 15.2; (5 0 2), 53.6°, 1.710 Å, I 26.7; (5 0 6), 63.7°, 1.462 Å, I 21.1

Cell and atoms:
```
data_Gd10S19
_cell_length_a 8.7572
_cell_length_b 8.7572
_cell_length_c 15.9152
_cell_angle_alpha 90.00
_cell_angle_beta 90.00
_cell_angle_gamma 90.00
_symmetry_space_group_name_H-M 'P 42/n'
_symmetry_Int_Tables_number 86
loop_
_symmetry_equiv_pos_as_xyz
'x,y,z'
'-x,-y,-z'
'-y,x+1/2,z+1/2'
'y,-x+1/2,-z+1/2'
'-x+1/2,-y+1/2,z'
'x+1/2,y+1/2,-z'
'y+1/2,-x,z+1/2'
'-y+1/2,x,-z+1/2'
loop_
_atom_site_label
_atom_site_type_symbol
_atom_site_fract_x
_atom_site_fract_y
_atom_site_fract_z
Gd1 Gd 0.0415 0.3482 0.1213
Gd2 Gd 0.0543 0.3541 0.6031
Gd3 Gd 0.2500 0.7500 0.1149
S1 S 0.0300 0.8065 0.2494
S2 S 0.0485 0.3483 0.4270
S3 S 0.0537 0.3514 0.9377
S4 S 0.0734 0.8867 0.7502
S5 S 0.2500 0.2500 0.2500
S6 S 0.2500 0.7500 0.4348
```

---

No. 8
For TbHo5Ru4, the GGA-PBE geometry in Alexandria gives the calculated powder diffractogram in this record (Cu Ka).

The 10 most intense peaks (2θ from 10° to 90°), in order of rising 2θ:
(3 1 0), 26.3°, 3.394 Å, I 27.7; (0 0 2), 26.6°, 3.349 Å, I 13.4; (0 2 0), 37.1°, 2.422 Å, I 35.1; (3 1 -2), 37.7°, 2.388 Å, I 67.3; (6 0 0), 37.8°, 2.380 Å, I 100.0; (6 2 0), 54.0°, 1.697 Å, I 23.7; (0 0 4), 54.8°, 1.674 Å, I 11.3; (3 3 2), 67.3°, 1.391 Å, I 24.5; (0 2 4), 68.1°, 1.377 Å, I 23.7; (9 1 2), 68.4°, 1.372 Å, I 17.4

Cell and atoms:
```
data_TbHo5Ru4
_cell_length_a 14.2767
_cell_length_b 4.8433
_cell_length_c 6.6972
_cell_angle_alpha 90.00
_cell_angle_beta 90.26
_cell_angle_gamma 90.00
_symmetry_space_group_name_H-M 'C 1 2/m 1'
_symmetry_Int_Tables_number 12
_symmetry_space_group_name_Hall '-C 2y'
loop_
_atom_site_label
_atom_site_type_symbol
_atom_site_fract_x
_atom_site_fract_y
_atom_site_fract_z
Tb1 Tb 0.0000 0.0000 0.0000
Ho1 Ho 0.0000 0.0000 0.5000
Ho2 Ho 0.1668 0.5000 0.0036
Ho3 Ho 0.1670 0.5000 0.5031
Ru1 Ru 0.0009 0.5000 0.7490
Ru2 Ru 0.1651 0.0000 0.7509
```